Theoretical PXRD pattern
Compound: SiH3NO
Radiation: Cu Kα X-rays
Structure: a structure optimized by DFT (PBE)
Neutral-atom scattering factors, no anomalous dispersion.

Top 6 peaks for 2θ from 10° to 80°, low angle first:
| 2θ (°) | I_rel | hkl |
| --- | --- | --- |
| 10.53 | 100 | 0 0 1 |
| 21.16 | 6 | 0 0 2 |
| 35.55 | 6 | 1 1 0 |
| 36.48 | 6 | 1 1 1 |
| 37.05 | 4 | 0 1 -1 |
| 38.01 | 4 | 1 0 -1 |

Atomic structure:
```
data_SiH3NO
_cell_length_a 2.9189
_cell_length_b 2.9193
_cell_length_c 8.4279
_cell_angle_alpha 88.03
_cell_angle_beta 85.27
_cell_angle_gamma 60.02
_symmetry_space_group_name_H-M 'P 1'
_symmetry_Int_Tables_number 1
loop_
_symmetry_equiv_pos_as_xyz
'x,y,z'
loop_
_atom_site_label
_atom_site_type_symbol
_atom_site_fract_x
_atom_site_fract_y
_atom_site_fract_z
_atom_site_occupancy
Si1 Si 0.0000 0.0000 0.0000 1
H1 H 0.0928 0.7159 0.2520 1
H2 H 0.1394 0.4726 0.5782 1
H3 H 0.3858 0.3345 0.5233 1
N1 N 0.6830 0.6619 0.9402 1
O1 O 0.9264 0.0572 0.1977 1
```